# Ce2BeBPt6
Theoretical powder diffraction line list, CuKα. Input: a cell relaxed with PBE.
Kinematic intensities with the Lorentz-polarization factor, no thermal factor.

Structural model:
abc: 5.6767 5.6767 10.4200
angles: 90.00 90.00 90.00
Space group I4mm (No. 107)
Unique sites:
Ce (0.0000, 0.5000, 0.0000) x4
Be (0.0000, 0.0000, 0.3636) x2
B (0.0000, 0.0000, 0.8650) x2
Pt (0.0000, 0.0000, 0.0705) x2
Pt (0.0000, 0.0000, 0.5731) x2
Pt (0.2467, 0.2467, 0.7642) x8

Peak list (10 most intense, 5 to 70 degrees two-theta, by angle)
- hkl 0 0 2, 17.0 deg, rel. 7
- hkl 1 1 2, 28.1 deg, rel. 9
- hkl 0 0 4, 34.4 deg, rel. 19
- hkl 2 0 2, 36.0 deg, rel. 100
- hkl 1 1 4, 41.3 deg, rel. 11
- hkl 2 2 0, 45.2 deg, rel. 31
- hkl 2 0 4, 47.4 deg, rel. 8
- hkl 2 2 4, 58.0 deg, rel. 17
- hkl 2 0 6, 62.7 deg, rel. 8
- hkl 4 0 0, 65.8 deg, rel. 10



# LaCePr2Rh2
Theoretical powder diffraction line list, CuKα. Input: a cell relaxed with PBE.
Kinematic intensities with the Lorentz-polarization factor, no thermal factor.

Structural model:
abc: 7.2587 13.4350 7.0505
angles: 90.00 90.00 90.00
Space group Ibam (No. 72)
Unique sites:
La (0.0000, 0.0000, 0.2500) x4
Ce (0.0000, 0.5000, 0.2500) x4
Pr (0.1960, 0.3033, 0.0000) x8
Rh (0.2223, 0.4033, 0.5000) x8

Peak list (10 most intense, 5 to 70 degrees two-theta, by angle)
- hkl 2 2 0, 27.9 deg, rel. 56
- hkl 0 2 2, 28.6 deg, rel. 66
- hkl 1 4 1, 32.0 deg, rel. 86
- hkl 2 0 2, 35.5 deg, rel. 100
- hkl 2 4 0, 36.4 deg, rel. 27
- hkl 0 4 2, 37.0 deg, rel. 25
- hkl 1 6 1, 44.2 deg, rel. 27
- hkl 0 6 2, 48.1 deg, rel. 22
- hkl 1 4 3, 48.9 deg, rel. 26
- hkl 0 0 4, 51.9 deg, rel. 21